Record 1
# Th2Al5Ag3
Computed XRD peak list, a wavelength of 1.5418 Å. Input: a crystal structure in Alexandria, relaxed with PBE.
No peak broadening, texture or thermal motion is included.

Top 8 peaks for 15 to 90 degrees two-theta, in order of rising 2θ:
2θ = 21.93°, rel. 42, (1 2 1)
2θ = 28.88°, rel. 47, (0 0 2)
2θ = 32.24°, rel. 100, (3 2 1)
2θ = 33.41°, rel. 93, (2 0 2)
2θ = 41.30°, rel. 54, (0 4 2)
2θ = 46.98°, rel. 34, (5 2 1)
2θ = 53.34°, rel. 48, (3 2 3)
2θ = 64.31°, rel. 25, (5 2 3)

Atomic structure:
abc: 10.7826 12.3546 6.1888
angles: 90.00 90.00 90.00
Space group Ibam (No. 72)
Asymmetric unit:
Th (0.2393, 0.1298, 0.0000) (multiplicity 8)
Al (0.0000, 0.0000, 0.2500) (multiplicity 4)
Al (0.0000, 0.2647, 0.2500) (multiplicity 8)
Al (0.1473, 0.3841, 0.0000) (multiplicity 8)
Ag (0.0000, 0.5000, 0.2500) (multiplicity 4)
Ag (0.1203, 0.1309, 0.5000) (multiplicity 8)

***

Record 2
# Th2Al3Ag5
Computed XRD peak list, a wavelength of 1.5418 Å. Input: a crystal structure in Alexandria, relaxed with PBE.
No peak broadening, texture or thermal motion is included.

Top 8 peaks for 15 to 90 degrees two-theta, in order of rising 2θ:
2θ = 22.19°, rel. 18, (1 0 1)
2θ = 31.00°, rel. 41, (1 0 3)
2θ = 33.42°, rel. 100, (1 1 2)
2θ = 42.42°, rel. 39, (2 0 0)
2θ = 43.98°, rel. 27, (1 0 5)
2θ = 53.46°, rel. 18, (2 1 3)
2θ = 62.76°, rel. 18, (2 1 5)
2θ = 71.88°, rel. 21, (3 1 2)

Atomic structure:
abc: 4.2613 4.2613 11.7576
angles: 90.00 90.00 90.00
Space group P-4m2 (No. 115)
Asymmetric unit:
Th (0.0000, 0.5000, 0.2351) (multiplicity 2)
Al (0.0000, 0.0000, 0.0000) (multiplicity 1)
Al (0.0000, 0.5000, 0.8686) (multiplicity 2)
Ag (0.0000, 0.0000, 0.5000) (multiplicity 1)
Ag (0.0000, 0.5000, 0.6548) (multiplicity 2)
Ag (0.5000, 0.5000, 0.0000) (multiplicity 1)
Ag (0.5000, 0.5000, 0.5000) (multiplicity 1)

***

Record 3
# Th2Al3Ag2
Computed XRD peak list, a wavelength of 1.5418 Å. Input: a crystal structure in Alexandria, relaxed with PBE.
No peak broadening, texture or thermal motion is included.

Top 8 peaks for 15 to 90 degrees two-theta, in order of rising 2θ:
2θ = 20.17°, rel. 26, (1 1 0)
2θ = 22.12°, rel. 30, (0 4 1)
2θ = 30.38°, rel. 36, (0 6 1)
2θ = 31.98°, rel. 81, (1 1 2)
2θ = 32.90°, rel. 100, (1 5 1)
2θ = 39.88°, rel. 33, (2 0 0)
2θ = 41.80°, rel. 35, (0 4 3)
2θ = 59.15°, rel. 25, (2 4 3)

Atomic structure:
abc: 4.5209 19.3171 7.2497
angles: 90.00 90.00 90.00
Space group Cmcm (No. 63)
Asymmetric unit:
Th (0.0000, 0.0472, 0.2500) (multiplicity 4)
Th (0.0000, 0.1554, 0.7500) (multiplicity 4)
Al (0.0000, 0.2208, 0.2500) (multiplicity 4)
Al (0.0000, 0.4402, 0.0715) (multiplicity 8)
Ag (0.0000, 0.3114, 0.5544) (multiplicity 8)

***

Record 4
# ThAlZn6Ag
Computed XRD peak list, a wavelength of 1.5418 Å. Input: a crystal structure in Alexandria, relaxed with PBE.
No peak broadening, texture or thermal motion is included.

Top 8 peaks for 15 to 90 degrees two-theta, in order of rising 2θ:
2θ = 25.14°, rel. 49, (1 2 1)
2θ = 25.57°, rel. 59, (1 0 3)
2θ = 27.21°, rel. 40, (0 3 1)
2θ = 32.11°, rel. 82, (1 1 4)
2θ = 35.50°, rel. 100, (0 4 0)
2θ = 38.27°, rel. 49, (2 2 0)
2θ = 40.86°, rel. 31, (1 2 5)
2θ = 41.05°, rel. 43, (1 3 4)

Atomic structure:
abc: 5.3120 10.1197 13.8415
angles: 90.00 90.00 90.00
Space group Imma (No. 74)
Asymmetric unit:
Th (0.0000, 0.2500, 0.1806) (multiplicity 4)
Al (0.2500, 0.2500, 0.7500) (multiplicity 4)
Zn (0.0000, 0.2500, 0.4379) (multiplicity 4)
Zn (0.0000, 0.2500, 0.9454) (multiplicity 4)
Zn (0.2462, 0.0258, 0.8433) (multiplicity 16)
Ag (0.0000, 0.0000, 0.5000) (multiplicity 4)

***

Record 5
# ThAl2Zn2Ag
Computed XRD peak list, a wavelength of 1.5418 Å. Input: a crystal structure in Alexandria, relaxed with PBE.
No peak broadening, texture or thermal motion is included.

Top 8 peaks for 15 to 90 degrees two-theta, in order of rising 2θ:
2θ = 23.42°, rel. 42, (1 0 0)
2θ = 26.75°, rel. 24, (0 1 1)
2θ = 35.01°, rel. 100, (1 0 2)
2θ = 41.16°, rel. 50, (1 1 0)
2θ = 55.12°, rel. 27, (0 2 2)
2θ = 68.99°, rel. 17, (1 1 4)
2θ = 71.05°, rel. 25, (2 1 2)
2θ = 88.30°, rel. 12, (1 0 6)

Atomic structure:
abc: 4.3862 4.3862 6.9451
angles: 90.00 90.00 120.00
Space group P-3m1 (No. 164)
Asymmetric unit:
Th (0.0000, 0.0000, 0.0000) (multiplicity 1)
Al (0.3333, 0.6667, 0.6992) (multiplicity 2)
Zn (0.3333, 0.6667, 0.2719) (multiplicity 2)
Ag (0.0000, 0.0000, 0.5000) (multiplicity 1)

***

Record 6
# Tm3Al2Ag2
Computed XRD peak list, a wavelength of 1.5418 Å. Input: a crystal structure in Alexandria, relaxed with PBE.
No peak broadening, texture or thermal motion is included.

Top 8 peaks for 15 to 90 degrees two-theta, in order of rising 2θ:
2θ = 29.57°, rel. 35, (1 5 0)
2θ = 33.98°, rel. 100, (1 1 1)
2θ = 36.02°, rel. 74, (1 7 0)
2θ = 36.17°, rel. 71, (0 6 1)
2θ = 42.90°, rel. 26, (2 0 0)
2θ = 53.52°, rel. 13, (0 0 2)
2θ = 57.33°, rel. 37, (2 6 1)
2θ = 66.22°, rel. 45, (1 13 1)

Atomic structure:
abc: 4.2163 21.6452 3.4245
angles: 90.00 90.00 90.00
Space group Cmmm (No. 65)
Asymmetric unit:
Tm (0.0000, 0.0000, 0.0000) (multiplicity 2)
Tm (0.0000, 0.1583, 0.0000) (multiplicity 4)
Al (0.0000, 0.2830, 0.5000) (multiplicity 4)
Ag (0.0000, 0.4201, 0.5000) (multiplicity 4)

***

Record 7
# TmAl6Ag
Computed XRD peak list, a wavelength of 1.5418 Å. Input: a crystal structure in Alexandria, relaxed with PBE.
No peak broadening, texture or thermal motion is included.

Top 8 peaks for 15 to 90 degrees two-theta, in order of rising 2θ:
2θ = 20.11°, rel. 31, (0 2 0)
2θ = 20.91°, rel. 28, (0 0 1)
2θ = 22.61°, rel. 24, (2 0 0)
2θ = 29.17°, rel. 25, (0 2 1)
2θ = 30.44°, rel. 23, (2 2 0)
2θ = 30.99°, rel. 21, (2 0 1)
2θ = 37.22°, rel. 100, (2 2 1)
2θ = 40.88°, rel. 19, (0 4 0)

Atomic structure:
abc: 7.8649 8.8297 4.2479
angles: 90.00 90.00 90.00
Space group Cmmm (No. 65)
Asymmetric unit:
Tm (0.0000, 0.0000, 0.0000) (multiplicity 2)
Al (0.0000, 0.2392, 0.5000) (multiplicity 4)
Al (0.2303, 0.5000, 0.5000) (multiplicity 4)
Al (0.2500, 0.2500, 0.0000) (multiplicity 4)
Ag (0.0000, 0.5000, 0.0000) (multiplicity 2)

***

Record 8
# TmAl4Ag2
Computed XRD peak list, a wavelength of 1.5418 Å. Input: a crystal structure in Alexandria, relaxed with PBE.
No peak broadening, texture or thermal motion is included.

Top 8 peaks for 15 to 90 degrees two-theta, in order of rising 2θ:
2θ = 15.53°, rel. 43, (1 1 0)
2θ = 26.91°, rel. 33, (1 1 1)
2θ = 31.36°, rel. 41, (2 2 0)
2θ = 33.18°, rel. 100, (2 1 1)
2θ = 40.19°, rel. 38, (3 0 1)
2θ = 41.79°, rel. 28, (3 1 1)
2θ = 44.52°, rel. 21, (0 0 2)
2θ = 66.51°, rel. 23, (5 2 1)

Atomic structure:
abc: 8.0673 8.0673 4.0701
angles: 90.00 90.00 90.00
Space group P4_2/mnm (No. 136)
Asymmetric unit:
Tm (0.0000, 0.0000, 0.0000) (multiplicity 2)
Al (0.0875, 0.3385, 0.5000) (multiplicity 8)
Ag (0.2040, 0.7960, 0.5000) (multiplicity 4)

***

Record 9
# TmAlAg3
Computed XRD peak list, a wavelength of 1.5418 Å. Input: a crystal structure in Alexandria, relaxed with PBE.
No peak broadening, texture or thermal motion is included.

Top 8 peaks for 15 to 90 degrees two-theta, in order of rising 2θ:
2θ = 31.17°, rel. 30, (3 0 1)
2θ = 33.69°, rel. 100, (2 1 2)
2θ = 34.48°, rel. 83, (1 1 3)
2θ = 37.90°, rel. 26, (3 1 1)
2θ = 42.80°, rel. 34, (0 2 0)
2θ = 43.67°, rel. 26, (1 0 5)
2θ = 58.13°, rel. 13, (4 1 4)
2θ = 62.80°, rel. 17, (1 2 5)

Atomic structure:
abc: 8.9399 4.2261 10.6551
angles: 90.00 90.00 90.00
Space group Pnma (No. 62)
Asymmetric unit:
Tm (0.1819, 0.2500, 0.0032) (multiplicity 4)
Al (0.1216, 0.2500, 0.6431) (multiplicity 4)
Ag (0.0628, 0.2500, 0.4049) (multiplicity 4)
Ag (0.0977, 0.7500, 0.1978) (multiplicity 4)
Ag (0.1424, 0.7500, 0.8018) (multiplicity 4)

***

Record 10
# TmAl6Ag4
Computed XRD peak list, a wavelength of 1.5418 Å. Input: a crystal structure in Alexandria, relaxed with PBE.
No peak broadening, texture or thermal motion is included.

Top 8 peaks for 15 to 90 degrees two-theta, in order of rising 2θ:
2θ = 18.03°, rel. 51, (0 0 2)
2θ = 18.89°, rel. 47, (1 1 0)
2θ = 26.23°, rel. 67, (1 1 2)
2θ = 30.39°, rel. 34, (1 0 3)
2θ = 31.46°, rel. 100, (2 1 1)
2θ = 40.99°, rel. 66, (2 1 3)
2θ = 41.82°, rel. 77, (3 0 1)
2θ = 45.91°, rel. 30, (2 0 4)

Atomic structure:
abc: 6.6428 6.6428 9.8398
angles: 90.00 90.00 90.00
Space group I-42m (No. 121)
Asymmetric unit:
Tm (0.0000, 0.0000, 0.0000) (multiplicity 2)
Al (0.0000, 0.5000, 0.0000) (multiplicity 4)
Al (0.2122, 0.2122, 0.3188) (multiplicity 8)
Ag (0.1681, 0.1681, 0.5954) (multiplicity 8)

***

Record 11
# Tm2Al5Ag5
Computed XRD peak list, a wavelength of 1.5418 Å. Input: a crystal structure in Alexandria, relaxed with PBE.
No peak broadening, texture or thermal motion is included.

Top 8 peaks for 15 to 90 degrees two-theta, in order of rising 2θ:
2θ = 19.98°, rel. 46, (1 0 0)
2θ = 27.63°, rel. 20, (1 1 1)
2θ = 32.85°, rel. 38, (0 1 3)
2θ = 33.12°, rel. 31, (0 2 0)
2θ = 38.75°, rel. 100, (1 1 3)
2θ = 38.98°, rel. 33, (1 2 0)
2θ = 40.61°, rel. 28, (2 0 0)
2θ = 62.94°, rel. 23, (1 3 3)

Atomic structure:
abc: 4.4436 5.4096 9.4698
angles: 90.00 90.00 90.00
Space group Pmmm (No. 47)
Asymmetric unit:
Tm (0.0000, 0.0000, 0.0000) (multiplicity 1)
Tm (0.0000, 0.5000, 0.5000) (multiplicity 1)
Al (0.5000, 0.0000, 0.5000) (multiplicity 1)
Al (0.5000, 0.2481, 0.2445) (multiplicity 4)
Ag (0.0000, 0.0000, 0.3356) (multiplicity 2)
Ag (0.0000, 0.5000, 0.1805) (multiplicity 2)
Ag (0.5000, 0.5000, 0.0000) (multiplicity 1)

***

Record 12
# Tm4Al3Ag
Computed XRD peak list, a wavelength of 1.5418 Å. Input: a crystal structure in Alexandria, relaxed with PBE.
No peak broadening, texture or thermal motion is included.

Top 8 peaks for 15 to 90 degrees two-theta, in order of rising 2θ:
2θ = 24.74°, rel. 19, (0 0 4)
2θ = 25.11°, rel. 37, (1 0 0)
2θ = 35.54°, rel. 100, (1 0 4)
2θ = 35.81°, rel. 49, (1 1 0)
2θ = 44.02°, rel. 17, (1 1 4)
2θ = 51.55°, rel. 17, (2 0 0)
2θ = 63.65°, rel. 18, (1 1 8)
2θ = 64.18°, rel. 36, (2 1 4)

Atomic structure:
abc: 3.5460 3.5460 14.3950
angles: 90.00 90.00 90.00
Space group P4/mmm (No. 123)
Asymmetric unit:
Tm (0.0000, 0.0000, 0.1233) (multiplicity 2)
Tm (0.0000, 0.0000, 0.3725) (multiplicity 2)
Al (0.5000, 0.5000, 0.0000) (multiplicity 1)
Al (0.5000, 0.5000, 0.2475) (multiplicity 2)
Ag (0.5000, 0.5000, 0.5000) (multiplicity 1)

***

Record 13
# TmAl2Ag
Computed XRD peak list, a wavelength of 1.5418 Å. Input: a crystal structure in Alexandria, relaxed with PBE.
No peak broadening, texture or thermal motion is included.

Top 8 peaks for 15 to 90 degrees two-theta, in order of rising 2θ:
2θ = 21.61°, rel. 23, (1 0 2)
2θ = 25.49°, rel. 36, (1 1 1)
2θ = 29.64°, rel. 33, (1 1 2)
2θ = 34.32°, rel. 100, (2 1 1)
2θ = 35.58°, rel. 84, (1 1 3)
2θ = 37.28°, rel. 31, (1 0 4)
2θ = 40.72°, rel. 45, (0 2 0)
2θ = 43.52°, rel. 29, (3 0 2)

Atomic structure:
abc: 6.8167 4.4301 10.3157
angles: 90.00 90.00 90.00
Space group Pnma (No. 62)
Asymmetric unit:
Tm (0.2276, 0.2500, 0.1718) (multiplicity 4)
Al (0.0720, 0.2500, 0.8438) (multiplicity 4)
Al (0.2075, 0.7500, 0.9624) (multiplicity 4)
Ag (0.0491, 0.7500, 0.4027) (multiplicity 4)